(1)
Starting from a cell relaxed with PBE, the powder diffractogram of TbUMo was calculated for λ = 1.5418 Å (Cu Kα).
Peak positions follow from Bragg's law for the DFT cell and can differ from measured ones.

Structure:
```
data_TbUMo
_chemical_formula_sum 'Tb2 U2 Mo2'
_symmetry_space_group_name_H-M 'P m m a'
_symmetry_Int_Tables_number 51
_cell_length_a 7.6150
_cell_length_b 5.7099
_cell_length_c 3.6404
_cell_angle_alpha 90.00
_cell_angle_beta 90.00
_cell_angle_gamma 90.00
loop_
_symmetry_equiv_pos_as_xyz
'x,y,z'
'-x,-y,-z'
'-x+1/2,-y,z'
'x+1/2,y,-z'
'x+1/2,-y,-z'
'-x+1/2,y,z'
'-x,y,-z'
'x,-y,z'
loop_
_atom_site_label
_atom_site_type_symbol
_atom_site_fract_x
_atom_site_fract_y
_atom_site_fract_z
Tb1 Tb 0.2500 0.0000 0.2022
U1 U 0.0000 0.5000 0.5000
Mo1 Mo 0.2500 0.5000 0.9410
```

Largest 8 diffraction maxima, low angle first, 2θ = 10–90°:
two_theta	Rel. int.	(hkl)
15.52	40.0	0 1 0
28.17	57.4	2 1 0
31.37	100.0	0 2 0
34.07	57.7	2 0 1
37.64	49.0	2 1 1
46.96	47.2	2 2 1
47.78	22.0	4 0 0
52.79	23.2	0 1 2

(2)
Starting from a cell relaxed with PBE, the powder diffractogram of Li12Zn2Cd was calculated for λ = 1.5418 Å (Cu Kα).
Peak positions follow from Bragg's law for the DFT cell and can differ from measured ones.

Structure:
```
data_Li12Zn2Cd
_chemical_formula_sum 'Li48 Zn8 Cd4'
_symmetry_space_group_name_H-M 'C m m e'
_symmetry_Int_Tables_number 67
_symmetry_space_group_name_Hall '-C 2a 2'
_cell_length_a 5.6025
_cell_length_b 10.0482
_cell_length_c 19.2060
_cell_angle_alpha 90.00
_cell_angle_beta 90.00
_cell_angle_gamma 90.00
loop_
_atom_site_label
_atom_site_type_symbol
_atom_site_fract_x
_atom_site_fract_y
_atom_site_fract_z
Li1 Li 0.0000 0.0002 0.0744
Li2 Li 0.0000 0.1205 0.4999
Li3 Li 0.2500 0.0000 0.2181
Li4 Li 0.2500 0.0000 0.3557
Li5 Li 0.2500 0.2500 0.1367
Li6 Li 0.2501 0.2500 0.3846
Zn1 Zn 0.0000 0.2500 0.2648
Zn2 Zn 0.0000 0.2500 0.7352
Cd1 Cd 0.0000 0.2500 0.9998
```

Largest 8 diffraction maxima, low angle first, 2θ = 10–90°:
two_theta	Rel. int.	(hkl)
13.83	60.0	0 0 3
17.65	100.0	0 2 0
18.48	80.3	0 0 4
22.50	40.0	0 2 3
25.66	73.0	0 2 4
36.73	32.0	2 2 0
37.16	38.9	2 0 4
41.42	53.6	2 2 4

What is the formula in the second record?
Li12Zn2Cd